# 1
# NdEr6Th4
Calculated X-ray powder pattern, Cu Kα (λ = 1.5418 Å). Input: a cell relaxed with PBE.
Intensities are scaled so that the largest is 100.

Structural model:
Lattice parameters (Å, degrees): 18.151 18.151 18.151 169.19 161.47 21.50
Fractional positions:
Nd 0.000 0.000 0.000
Er 0.097 0.597 0.500
Er 0.267 0.767 0.500
Er 0.368 0.868 0.500
Er 0.632 0.132 0.500
Er 0.733 0.233 0.500
Er 0.903 0.403 0.500
Th 0.182 0.182 0.000
Th 0.455 0.455 0.000
Th 0.545 0.545 0.000
Th 0.818 0.818 0.000

Peak list (10 most intense, 5° ≤ 2θ ≤ 70°, in order of rising 2θ)
2θ (°), I_rel
27.12, 27
28.95, 18
30.62, 67
31.55, 100
31.93, 15
33.90, 36
36.50, 45
41.34, 18
55.00, 20
63.52, 26


# 2
# Nd3ErTh2
Calculated X-ray powder pattern, Cu Kα (λ = 1.5418 Å). Input: a cell relaxed with PBE.
Intensities are scaled so that the largest is 100.

Structural model:
Lattice parameters (Å, degrees): 5.110 15.266 5.142 90.00 90.00 90.00
Fractional positions:
Nd 0.000 0.000 0.000
Nd 0.000 0.169 0.500
Nd 0.000 0.831 0.500
Nd 0.500 0.331 0.500
Nd 0.500 0.500 0.000
Nd 0.500 0.669 0.500
Er 0.000 0.500 0.500
Er 0.500 0.000 0.500
Th 0.000 0.333 0.000
Th 0.000 0.667 0.000
Th 0.500 0.167 0.000
Th 0.500 0.833 0.000

Peak list (10 most intense, 5° ≤ 2θ ≤ 70°, in order of rising 2θ)
2θ (°), I_rel
30.27, 100
34.89, 17
35.13, 17
35.27, 17
50.35, 12
50.46, 12
59.73, 15
60.04, 15
60.24, 14
62.97, 13


# 3
# Nd3Er4Th
Calculated X-ray powder pattern, Cu Kα (λ = 1.5418 Å). Input: a cell relaxed with PBE.
Intensities are scaled so that the largest is 100.

Structural model:
Lattice parameters (Å, degrees): 11.559 7.238 6.276 90.00 90.00 90.00
Fractional positions:
Nd 0.000 0.122 0.000
Nd 0.247 0.124 0.335
Nd 0.253 0.876 0.835
Nd 0.500 0.878 0.500
Nd 0.747 0.876 0.835
Nd 0.753 0.124 0.335
Er 0.000 0.379 0.505
Er 0.000 0.626 0.008
Er 0.248 0.624 0.344
Er 0.252 0.376 0.844
Er 0.500 0.374 0.508
Er 0.500 0.621 0.005
Er 0.748 0.376 0.844
Er 0.752 0.624 0.344
Th 0.000 0.870 0.510
Th 0.500 0.130 0.010

Peak list (10 most intense, 5° ≤ 2θ ≤ 70°, in order of rising 2θ)
2θ (°), I_rel
28.46, 24
30.95, 25
32.48, 100
42.54, 16
50.40, 19
56.02, 21
60.33, 23
61.25, 16
64.49, 3
68.02, 4